# Mg8Tl3Cd3
Calculated powder diffractogram, Cu Kα. Input: a PBE-relaxed structure.
Intensities are scaled so that the largest is 100.

a b c (Å): 8.550 8.550 4.987
angles (deg): 90.00 90.00 92.74
Fractional positions:
Mg1 0.098 0.643 0.000
Mg2 0.138 0.390 0.500
Mg3 0.357 0.902 0.000
Mg4 0.390 0.138 0.500
Mg5 0.610 0.862 0.500
Mg6 0.643 0.098 0.000
Mg7 0.862 0.610 0.500
Mg8 0.902 0.357 0.000
Tl1 0.000 0.000 0.500
Tl2 0.260 0.740 0.500
Tl3 0.740 0.260 0.500
Cd1 0.236 0.236 0.000
Cd2 0.500 0.500 0.500
Cd3 0.764 0.764 0.000

Peak list (12 most intense, 10 to 90 degrees two-theta, low angle first)
- 15.02°, intensity 26.3
- 17.79°, intensity 30.6
- 23.36°, intensity 100.0
- 28.85°, intensity 35.0
- 30.30°, intensity 31.5
- 32.68°, intensity 19.7
- 35.35°, intensity 23.8
- 36.02°, intensity 30.9
- 37.45°, intensity 89.7
- 46.79°, intensity 18.7
- 47.76°, intensity 18.9
- 58.62°, intensity 21.5